[1]
This entry pairs a crystal structure of CsBe2H6 with its simulated X-ray powder pattern. Radiation: CuKα. Structure: a cell relaxed with PBE.

```
data_CsBe2H6
_chemical_formula_sum 'Cs1 Be2 H6'
_cell_length_a 3.823
_cell_length_b 4.450
_cell_length_c 6.590
_cell_angle_alpha 86.33
_cell_angle_beta 73.63
_cell_angle_gamma 89.01
_symmetry_space_group_name_H-M 'P -1'
_symmetry_Int_Tables_number 2
loop_
_symmetry_equiv_pos_as_xyz
'x,y,z'
'-x,-y,-z'
loop_
_atom_site_label
_atom_site_type_symbol
_atom_site_fract_x
_atom_site_fract_y
_atom_site_fract_z
_atom_site_occupancy
Cs1 Cs 0.000 0.000 0.000 1
Be1 Be 0.292 0.488 0.414 1
H1 H 0.009 0.728 0.477 1
H2 H 0.399 0.464 0.195 1
H3 H 0.495 0.272 0.524 1
```

Top 12 peaks for 2θ from 10° to 90°, in order of rising 2θ:
Position (°2θ)  I (rel.)  index
14.0  100.0  0 0 1
20.0  45.9  0 1 0
23.8  50.2  0 1 1
24.3  36.2  1 0 0
24.4  35.6  1 0 1
25.2  43.5  0 1 -1
28.3  31.7  0 0 2
31.2  23.5  1 1 1
31.5  23.9  1 0 -1
31.6  44.2  1 -1 0
31.8  23.2  1 0 2
32.3  20.6  1 -1 1

[2]
This entry pairs a crystal structure of Cs3BeH4 with its simulated X-ray powder pattern. Radiation: CuKα. Structure: a cell relaxed with PBE.

```
data_Cs3BeH4
_chemical_formula_sum 'Cs6 Be2 H8'
_cell_length_a 6.118
_cell_length_b 8.764
_cell_length_c 8.614
_cell_angle_alpha 90.00
_cell_angle_beta 90.00
_cell_angle_gamma 90.00
_symmetry_space_group_name_H-M 'I m m 2'
_symmetry_Int_Tables_number 44
loop_
_symmetry_equiv_pos_as_xyz
'x,y,z'
'-x,-y,z'
'-x,y,z'
'x,-y,z'
'x+1/2,y+1/2,z+1/2'
'-x+1/2,-y+1/2,z+1/2'
'-x+1/2,y+1/2,z+1/2'
'x+1/2,-y+1/2,z+1/2'
loop_
_atom_site_label
_atom_site_type_symbol
_atom_site_fract_x
_atom_site_fract_y
_atom_site_fract_z
_atom_site_occupancy
Cs1 Cs 0.000 0.000 0.000 1
Cs2 Cs 0.000 0.220 0.453 1
Be1 Be 0.000 0.500 0.159 1
H1 H 0.000 0.356 0.068 1
H2 H 0.194 0.500 0.259 1
```

Top 12 peaks for 2θ from 10° to 90°, in order of rising 2θ:
Position (°2θ)  I (rel.)  index
14.4  9.6  0 1 1
17.7  28.5  1 1 0
17.8  19.8  1 0 1
20.6  48.3  0 0 2
27.1  100.0  1 2 1
27.3  22.3  1 1 2
29.2  23.8  2 0 0
32.4  16.3  0 3 1
36.0  23.8  2 0 2
40.3  27.7  1 2 3
44.2  19.2  2 3 1
50.5  17.6  3 2 1